1.
Diffraction record for TmCu3Pd4. The powder XRD pattern is computed, not measured: it uses a crystal structure in Alexandria, relaxed with GGA-PBE and Cu Kα (weighted mean of Kα1 and Kα2).
No peak broadening, texture or thermal motion is included.

Cell and atoms:
```
TmCu3Pd4
1.0
4.1722 0.0000 0.0000
0.0000 4.1722 0.0000
0.0000 0.0000 6.9934
Tm Cu Pd
1 3 4
direct
0.0000 0.0000 0.0000
0.0000 0.0000 0.5000
0.5000 0.5000 0.0000
0.5000 0.5000 0.5000
0.0000 0.5000 0.2689
0.0000 0.5000 0.7311
0.5000 0.0000 0.2689
0.5000 0.0000 0.7311
```

Largest 10 diffraction maxima, most intense first, 2θ from 5° to 70°:
2θ/deg	intensity
39.98	100
43.38	41
63.02	13
52.33	10
32.95	6
24.85	5
21.30	4
59.46	3
38.62	3
33.44	2

2.
Diffraction record for Tb2Nd7Th2. The powder XRD pattern is computed, not measured: it uses a crystal structure in Alexandria, relaxed with GGA-PBE and Cu Kα (weighted mean of Kα1 and Kα2).
No peak broadening, texture or thermal motion is included.

Cell and atoms:
```
Tb2Nd7Th2
1.0
5.6901 -5.8122 0.0000
5.6901 5.8122 0.0000
-2.3463 0.0000 5.7313
Tb Nd Th
2 7 2
direct
0.2232 0.7768 0.0000
0.7768 0.2232 0.0000
0.0000 0.0000 0.5000
0.0624 0.5857 0.3300
0.2344 0.2344 0.0869
0.4143 0.9376 0.6700
0.5857 0.0624 0.3300
0.7656 0.7656 0.9131
0.9376 0.4143 0.6700
0.4238 0.4238 0.6970
0.5762 0.5762 0.3030
```

Largest 10 diffraction maxima, most intense first, 2θ from 5° to 70°:
2θ/deg	intensity
31.14	100
30.77	51
33.19	44
30.05	32
31.57	30
33.60	27
25.40	26
44.66	20
54.94	16
49.12	14